No. 1
Calculated PXRD pattern of Cu6Sn5 for Cu Kα X-rays, from a crystal structure in the Materials Project, relaxed with GGA-PBE.

Structure:
```
data_Cu6Sn5
_chemical_formula_sum 'Cu24 Sn20'
_symmetry_space_group_name_H-M 'C 1 2/c 1'
_symmetry_Int_Tables_number 15
_cell_length_a 11.093
_cell_length_b 7.432
_cell_length_c 9.860
_cell_angle_alpha 90.00
_cell_angle_beta 98.84
_cell_angle_gamma 90.00
loop_
_symmetry_equiv_pos_as_xyz
'x,y,z'
'-x,-y,-z'
'-x,y,-z+1/2'
'x,-y,z+1/2'
'x+1/2,y+1/2,z'
'-x+1/2,-y+1/2,-z'
'-x+1/2,y+1/2,-z+1/2'
'x+1/2,-y+1/2,z+1/2'
loop_
_atom_site_label
_atom_site_fract_x
_atom_site_fract_y
_atom_site_fract_z
_atom_site_occupancy
Cu1 0.000 0.000 0.000 1
Cu2 0.000 0.160 0.250 1
Cu3 0.101 0.473 0.202 1
Cu4 0.194 0.004 0.890 1
Sn1 0.000 0.200 0.750 1
Sn2 0.109 0.337 0.470 1
Sn3 0.214 0.155 0.142 1
```

The 6 most intense peaks (10 to 90 degrees two-theta), by angle:
- hkl 2 2 -1, 2θ = 29.70°, 3.008 Å, rel. 50
- hkl 3 1 1, 2θ = 29.96°, 2.983 Å, rel. 100
- hkl 1 3 2, 2θ = 42.31°, 2.136 Å, rel. 90
- hkl 2 0 4, 2θ = 42.88°, 2.109 Å, rel. 84
- hkl 5 1 0, 2θ = 43.06°, 2.101 Å, rel. 81
- hkl 3 3 6, 2θ = 78.15°, 1.223 Å, rel. 17

No. 2
Calculated PXRD pattern of Gd for Cu Kα X-rays, from a crystal structure in the Materials Project, relaxed with GGA-PBE.

Structure:
```
data_Gd
_chemical_formula_sum 'Gd4'
_symmetry_space_group_name_H-M 'P 63/m m c'
_symmetry_Int_Tables_number 194
_symmetry_space_group_name_Hall '-P 6c 2c'
_cell_length_a 3.6127
_cell_length_b 3.6127
_cell_length_c 11.6442
_cell_angle_alpha 90.00
_cell_angle_beta 90.00
_cell_angle_gamma 120.00
loop_
_atom_site_label
_atom_site_fract_x
_atom_site_fract_y
_atom_site_fract_z
_atom_site_occupancy
Gd1 0.0000 0.0000 0.0000 1
Gd2 0.3333 0.6667 0.2500 1
```

The 6 most intense peaks (10 to 90 degrees two-theta), by angle:
- hkl 1 0 1, 2θ = 29.56°, 3.022 Å, rel. 43
- hkl 0 0 4, 2θ = 30.71°, 2.911 Å, rel. 34
- hkl 1 0 2, 2θ = 32.49°, 2.756 Å, rel. 100
- hkl 1 0 3, 2θ = 36.90°, 2.436 Å, rel. 24
- hkl 1 1 0, 2θ = 50.53°, 1.806 Å, rel. 26
- hkl 1 1 4, 2θ = 60.30°, 1.535 Å, rel. 30

No. 3
Calculated PXRD pattern of NdCo12B6 for Cu Kα X-rays, from a crystal structure in the Materials Project, relaxed with GGA-PBE.

Structure:
```
data_NdCo12B6
_chemical_formula_sum 'Nd3 Co36 B18'
_symmetry_space_group_name_H-M 'R -3 m'
_symmetry_Int_Tables_number 166
_symmetry_space_group_name_Hall '-R 3 2"'
_cell_length_a 9.4216
_cell_length_b 9.4216
_cell_length_c 7.4500
_cell_angle_alpha 90.00
_cell_angle_beta 90.00
_cell_angle_gamma 120.00
loop_
_atom_site_label
_atom_site_fract_x
_atom_site_fract_y
_atom_site_fract_z
_atom_site_occupancy
Nd1 0.0000 0.0000 0.0000 1
Co1 0.0000 0.3671 0.5000 1
Co2 0.0906 0.1813 0.3679 1
B1 0.0385 0.5193 0.2875 1
```

The 6 most intense peaks (10 to 90 degrees two-theta), by angle:
- hkl 2 0 2, 2θ = 32.55°, 2.751 Å, rel. 40
- hkl 3 0 0, 2θ = 32.93°, 2.720 Å, rel. 31
- hkl 1 1 3, 2θ = 41.09°, 2.197 Å, rel. 57
- hkl 1 3 1, 2θ = 41.71°, 2.165 Å, rel. 100
- hkl 3 0 3, 2θ = 49.72°, 1.834 Å, rel. 25
- hkl 3 3 0, 2θ = 58.81°, 1.570 Å, rel. 23

No. 4
Calculated PXRD pattern of La2AlGe3 for Cu Kα X-rays, from a crystal structure in the Materials Project, relaxed with GGA-PBE.

Structure:
```
data_La2AlGe3
_chemical_formula_sum 'La4 Al2 Ge6'
_symmetry_space_group_name_H-M 'I m m 2'
_symmetry_Int_Tables_number 44
_cell_length_a 4.327
_cell_length_b 4.456
_cell_length_c 14.975
_cell_angle_alpha 90.00
_cell_angle_beta 90.00
_cell_angle_gamma 90.00
loop_
_symmetry_equiv_pos_as_xyz
'x,y,z'
'-x,-y,z'
'-x,y,z'
'x,-y,z'
'x+1/2,y+1/2,z+1/2'
'-x+1/2,-y+1/2,z+1/2'
'-x+1/2,y+1/2,z+1/2'
'x+1/2,-y+1/2,z+1/2'
loop_
_atom_site_label
_atom_site_fract_x
_atom_site_fract_y
_atom_site_fract_z
_atom_site_occupancy
La1 0.000 0.000 0.000 1
La2 0.000 0.500 0.243 1
Al1 0.000 0.500 0.830 1
Ge1 0.000 0.000 0.412 1
Ge2 0.000 0.000 0.581 1
Ge3 0.000 0.500 0.664 1
```

The 6 most intense peaks (10 to 90 degrees two-theta), by angle:
- hkl 1 0 3, 2θ = 27.28°, 3.270 Å, rel. 21
- hkl 1 1 2, 2θ = 31.19°, 2.868 Å, rel. 100
- hkl 0 1 5, 2θ = 36.14°, 2.486 Å, rel. 26
- hkl 1 0 5, 2θ = 36.49°, 2.463 Å, rel. 25
- hkl 0 2 0, 2θ = 40.49°, 2.228 Å, rel. 21
- hkl 1 1 10, 2θ = 69.69°, 1.349 Å, rel. 19

No. 5
Calculated PXRD pattern of GdTe for Cu Kα X-rays, from a crystal structure in the Materials Project, relaxed with GGA-PBE.

Structure:
```
data_GdTe
_chemical_formula_sum 'Gd4 Te4'
_symmetry_space_group_name_H-M 'F m -3 m'
_symmetry_Int_Tables_number 225
_symmetry_space_group_name_Hall '-F 4 2 3'
_cell_length_a 6.254
_cell_length_b 6.254
_cell_length_c 6.254
_cell_angle_alpha 90.00
_cell_angle_beta 90.00
_cell_angle_gamma 90.00
loop_
_atom_site_label
_atom_site_fract_x
_atom_site_fract_y
_atom_site_fract_z
_atom_site_occupancy
Gd1 0.000 0.000 0.000 1
Te1 0.000 0.000 0.500 1
```

The 6 most intense peaks (10 to 90 degrees two-theta), by angle:
- hkl 2 0 0, 2θ = 28.55°, 3.127 Å, rel. 100
- hkl 2 2 0, 2θ = 40.81°, 2.211 Å, rel. 76
- hkl 2 2 2, 2θ = 50.56°, 1.805 Å, rel. 27
- hkl 4 0 0, 2θ = 59.09°, 1.563 Å, rel. 13
- hkl 4 2 0, 2θ = 66.91°, 1.398 Å, rel. 35
- hkl 4 2 2, 2θ = 74.30°, 1.277 Å, rel. 26

No. 6
Calculated PXRD pattern of Ca2B2O5 for Cu Kα X-rays, from a crystal structure in the Materials Project, relaxed with GGA-PBE.

Structure:
```
data_Ca2B2O5
_chemical_formula_sum 'Ca8 B8 O20'
_symmetry_space_group_name_H-M 'P 1 21/c 1'
_symmetry_Int_Tables_number 14
_cell_length_a 3.593
_cell_length_b 6.404
_cell_length_c 19.429
_cell_angle_alpha 90.00
_cell_angle_beta 92.49
_cell_angle_gamma 90.00
loop_
_symmetry_equiv_pos_as_xyz
'x,y,z'
'-x,-y,-z'
'-x,y+1/2,-z+1/2'
'x,-y+1/2,z+1/2'
loop_
_atom_site_label
_atom_site_fract_x
_atom_site_fract_y
_atom_site_fract_z
_atom_site_occupancy
Ca1 0.212 0.050 0.290 1
Ca2 0.253 0.195 0.562 1
B1 0.323 0.748 0.082 1
B2 0.337 0.533 0.343 1
O1 0.214 0.733 0.352 1
O2 0.256 0.694 0.015 1
O3 0.268 0.608 0.134 1
O4 0.296 0.076 0.783 1
O5 0.468 0.550 0.597 1
```

The 6 most intense peaks (10 to 90 degrees two-theta), by angle:
- hkl 0 1 4, 2θ = 22.99°, 3.868 Å, rel. 22
- hkl 0 2 2, 2θ = 29.37°, 3.041 Å, rel. 67
- hkl 1 0 -4, 2θ = 30.32°, 2.948 Å, rel. 100
- hkl 1 0 4, 2θ = 31.64°, 2.828 Å, rel. 47
- hkl 1 1 3, 2θ = 32.23°, 2.777 Å, rel. 28
- hkl 2 0 0, 2θ = 50.87°, 1.795 Å, rel. 25